1.
Simulated powder X-ray diffraction pattern of CsInHg2Se4 for Cu Kα (weighted mean of Kα1 and Kα2), from a cell relaxed with PBE.
Lines closer than 0.1° are merged.

The 10 most intense peaks (2θ from 15° to 90°), low angle first:
Position (°2θ)  I/Imax
20.4  30.2
24.7  100.0
25.9  32.0
29.7  36.2
33.0  59.1
37.1  23.9
38.5  29.9
41.0  18.9
44.7  31.3
49.9  26.9

Cell and atoms:
Lattice parameters (Å, degrees): 6.940 8.703 9.625 90.00 90.00 90.00
Space group I222 (No. 23)
One atom of each set of equivalent atoms:
Cs: 0.000 0.000 0.000 x2
In: 0.000 0.000 0.500 x2
Hg: 0.000 0.500 0.172 x4
Se: 0.214 0.175 0.337 x8

---

2.
Simulated powder X-ray diffraction pattern of Cs4HgIr2 for Cu Kα (weighted mean of Kα1 and Kα2), from a cell relaxed with PBE.
Lines closer than 0.1° are merged.

The 10 most intense peaks (2θ from 15° to 90°), low angle first:
Position (°2θ)  I/Imax
18.1  62.7
25.8  100.0
28.3  21.8
31.9  26.9
34.9  24.5
36.7  39.5
39.8  24.6
41.4  26.6
55.2  18.8
59.8  19.3

Cell and atoms:
Lattice parameters (Å, degrees): 6.919 6.919 15.350 90.00 90.00 90.00
Space group I4/mmm (No. 139)
One atom of each set of equivalent atoms:
Cs: 0.000 0.000 0.246 x4
Cs: 0.000 0.500 0.000 x4
Hg: 0.000 0.000 0.000 x2
Ir: 0.000 0.000 0.422 x4

---

3.
Simulated powder X-ray diffraction pattern of CsHg2IrPt for Cu Kα (weighted mean of Kα1 and Kα2), from a cell relaxed with PBE.
Lines closer than 0.1° are merged.

The 10 most intense peaks (2θ from 15° to 90°), low angle first:
Position (°2θ)  I/Imax
16.4  40.5
17.8  18.7
29.5  92.8
33.1  100.0
36.1  39.6
47.5  36.9
49.8  64.3
56.9  29.7
61.1  35.1
79.2  17.0

Cell and atoms:
Lattice parameters (Å, degrees): 5.411 5.411 4.972 90.00 90.00 90.00
Space group P4/mmm (No. 123)
One atom of each set of equivalent atoms:
Cs: 0.000 0.000 0.000 x1
Hg: 0.000 0.500 0.500 x2
Ir: 0.500 0.500 0.500 x1
Pt: 0.500 0.500 0.000 x1

---

4.
Simulated powder X-ray diffraction pattern of CsKHg12 for Cu Kα (weighted mean of Kα1 and Kα2), from a cell relaxed with PBE.
Lines closer than 0.1° are merged.

The 10 most intense peaks (2θ from 15° to 90°), low angle first:
Position (°2θ)  I/Imax
21.1  67.8
24.2  34.5
29.8  58.4
30.2  29.9
36.6  40.6
36.7  49.5
37.0  100.0
38.7  60.1
42.9  33.8
53.4  33.4

Cell and atoms:
Lattice parameters (Å, degrees): 7.364 7.364 14.388 90.00 90.00 90.00
Space group P4/mmm (No. 123)
One atom of each set of equivalent atoms:
Cs: 0.000 0.000 0.000 x1
K: 0.000 0.000 0.500 x1
Hg: 0.195 0.500 0.250 x8
Hg: 0.500 0.500 0.099 x2
Hg: 0.500 0.500 0.401 x2

---

5.
Simulated powder X-ray diffraction pattern of CsK3Hg7 for Cu Kα (weighted mean of Kα1 and Kα2), from a cell relaxed with PBE.
Lines closer than 0.1° are merged.

The 10 most intense peaks (2θ from 15° to 90°), low angle first:
Position (°2θ)  I/Imax
18.7  100.0
27.9  42.6
28.1  47.1
29.1  20.1
32.3  22.4
33.1  23.4
35.9  24.4
37.2  39.0
40.8  52.5
42.7  21.2

Cell and atoms:
Lattice parameters (Å, degrees): 4.829 27.839 12.919 90.00 90.00 90.00
Space group Cmcm (No. 63)
One atom of each set of equivalent atoms:
Cs: 0.000 0.020 0.250 x4
K: 0.000 0.146 0.571 x8
K: 0.000 0.222 0.250 x4
Hg: 0.000 0.276 0.543 x8
Hg: 0.000 0.376 0.635 x8
Hg: 0.000 0.396 0.250 x4
Hg: 0.000 0.450 0.042 x8

---

6.
Simulated powder X-ray diffraction pattern of Cs2K9Hg3 for Cu Kα (weighted mean of Kα1 and Kα2), from a cell relaxed with PBE.
Lines closer than 0.1° are merged.

The 10 most intense peaks (2θ from 15° to 90°), low angle first:
Position (°2θ)  I/Imax
15.1  68.5
16.1  27.2
19.3  58.4
19.9  39.7
20.4  51.8
25.0  76.0
25.8  40.4
27.5  100.0
28.9  29.1
37.2  25.7

Cell and atoms:
Lattice parameters (Å, degrees): 20.765 11.009 16.049 90.00 117.51 90.00
Space group C2/c (No. 15)
One atom of each set of equivalent atoms:
Cs: 0.198 0.072 0.252 x8
K: 0.000 0.326 0.250 x4
K: 0.057 0.023 0.919 x8
K: 0.087 0.385 0.031 x8
K: 0.106 0.297 0.754 x8
K: 0.224 0.417 0.440 x8
Hg: 0.108 0.271 0.531 x8
Hg: 0.250 0.250 0.000 x4

---

7.
Simulated powder X-ray diffraction pattern of Cs12KHg4 for Cu Kα (weighted mean of Kα1 and Kα2), from a cell relaxed with PBE.
Lines closer than 0.1° are merged.

The 10 most intense peaks (2θ from 15° to 90°), low angle first:
Position (°2θ)  I/Imax
19.7  100.0
23.3  68.5
24.9  35.7
27.9  93.8
30.7  79.2
36.7  49.5
38.9  33.8
42.0  30.9
52.9  30.7
54.5  57.8

Cell and atoms:
Lattice parameters (Å, degrees): 14.284 14.284 14.284 90.00 90.00 90.00
Space group Im-3 (No. 204)
One atom of each set of equivalent atoms:
Cs: 0.000 0.315 0.178 x24
K: 0.000 0.000 0.000 x2
Hg: 0.250 0.250 0.250 x8

---

8.
Simulated powder X-ray diffraction pattern of Cs2K4Hg for Cu Kα (weighted mean of Kα1 and Kα2), from a cell relaxed with PBE.
Lines closer than 0.1° are merged.

The 10 most intense peaks (2θ from 15° to 90°), low angle first:
Position (°2θ)  I/Imax
16.7  47.0
17.3  59.7
22.8  100.0
24.2  36.5
27.7  20.2
28.0  48.1
31.2  29.1
31.9  67.6
42.2  28.9
45.9  36.6

Cell and atoms:
Lattice parameters (Å, degrees): 16.224 16.224 7.764 90.00 90.00 90.00
Space group I4/mcm (No. 140)
One atom of each set of equivalent atoms:
Cs: 0.117 0.383 0.000 x8
K: 0.086 0.175 0.500 x16
Hg: 0.000 0.000 0.250 x4

---

9.
Simulated powder X-ray diffraction pattern of CsK2Hg for Cu Kα (weighted mean of Kα1 and Kα2), from a cell relaxed with PBE.
Lines closer than 0.1° are merged.

The 10 most intense peaks (2θ from 15° to 90°), low angle first:
Position (°2θ)  I/Imax
21.4  25.6
25.1  100.0
26.4  22.1
30.4  30.8
33.2  17.6
34.2  16.4
40.7  27.5
45.8  19.4
50.9  28.3
51.6  13.6

Cell and atoms:
Lattice parameters (Å, degrees): 5.884 5.884 6.752 90.00 90.00 90.00
Space group P4/mmm (No. 123)
One atom of each set of equivalent atoms:
Cs: 0.000 0.000 0.000 x1
K: 0.000 0.500 0.500 x2
Hg: 0.500 0.500 0.000 x1

---

10.
Simulated powder X-ray diffraction pattern of Cs3KHg3 for Cu Kα (weighted mean of Kα1 and Kα2), from a cell relaxed with PBE.
Lines closer than 0.1° are merged.

The 10 most intense peaks (2θ from 15° to 90°), low angle first:
Position (°2θ)  I/Imax
23.8  25.8
23.9  27.8
27.6  100.0
27.7  89.9
30.9  23.9
36.8  17.9
39.4  31.0
41.9  18.8
48.7  19.1
48.9  40.8

Cell and atoms:
Lattice parameters (Å, degrees): 12.8997 12.8997 7.9439 90.00 90.00 120.00
Space group R3m (No. 160, hexagonal axes)
One atom of each set of equivalent atoms:
Cs: 0.1900 0.3799 0.0000 x9
K: 0.0000 0.0000 0.7537 x3
Hg: 0.1723 0.3447 0.5161 x9

---

11.
Simulated powder X-ray diffraction pattern of CsKHg3 for Cu Kα (weighted mean of Kα1 and Kα2), from a cell relaxed with PBE.
Lines closer than 0.1° are merged.

The 10 most intense peaks (2θ from 15° to 90°), low angle first:
Position (°2θ)  I/Imax
18.9  100.0
26.4  84.9
26.7  65.7
32.0  65.5
33.7  52.5
37.9  38.0
38.9  34.7
39.5  42.6
43.5  35.5
50.5  37.0

Cell and atoms:
Lattice parameters (Å, degrees): 4.745 32.799 5.325 90.00 90.00 90.00
Space group Cmcm (No. 63)
One atom of each set of equivalent atoms:
Cs: 0.000 0.204 0.250 x4
K: 0.000 0.067 0.750 x4
Hg: 0.000 0.337 0.250 x4
Hg: 0.000 0.385 0.750 x4
Hg: 0.000 0.477 0.750 x4

---

12.
Simulated powder X-ray diffraction pattern of Cs3KHg4 for Cu Kα (weighted mean of Kα1 and Kα2), from a cell relaxed with PBE.
Lines closer than 0.1° are merged.

The 10 most intense peaks (2θ from 15° to 90°), low angle first:
Position (°2θ)  I/Imax
19.1  51.3
20.8  34.7
22.7  57.1
23.6  100.0
24.8  85.6
30.5  32.3
31.1  32.6
33.0  45.5
34.5  75.0
40.2  32.5

Cell and atoms:
Lattice parameters (Å, degrees): 9.316 14.382 7.538 90.00 90.00 90.00
Space group Imm2 (No. 44)
One atom of each set of equivalent atoms:
Cs: 0.000 0.000 0.000 x2
Cs: 0.000 0.260 0.500 x4
K: 0.000 0.500 0.002 x2
Hg: 0.000 0.261 0.000 x4
Hg: 0.156 0.000 0.500 x4

---

13.
Simulated powder X-ray diffraction pattern of Cs3K6Hg5 for Cu Kα (weighted mean of Kα1 and Kα2), from a cell relaxed with PBE.
Lines closer than 0.1° are merged.

The 10 most intense peaks (2θ from 15° to 90°), low angle first:
Position (°2θ)  I/Imax
17.7  24.7
19.4  46.4
21.4  33.9
25.0  100.0
25.1  38.4
25.8  37.7
29.0  28.6
29.0  37.6
30.5  29.0
31.8  78.4

Cell and atoms:
Lattice parameters (Å, degrees): 5.630 18.467 13.739 90.00 90.00 90.00
Space group Pmmn (No. 59, origin choice 2)
One atom of each set of equivalent atoms:
Cs: 0.250 0.046 0.246 x4
Cs: 0.250 0.750 0.273 x2
K: 0.250 0.075 0.577 x4
K: 0.250 0.250 0.027 x2
K: 0.250 0.250 0.386 x2
K: 0.250 0.590 0.984 x4
Hg: 0.250 0.095 0.845 x4
Hg: 0.250 0.630 0.589 x4
Hg: 0.250 0.750 0.780 x2